1.
Structure and simulated powder diffractogram of La4Hg3Pd (a cell relaxed with PBE; a wavelength of 1.5418 Å).

Largest 8 diffraction maxima, sorted by position, 2θ = 10–80°:
- 2θ = 23.09°, rel. 2.1
- 2θ = 28.97°, rel. 3.0
- 2θ = 32.88°, rel. 100.0
- 2θ = 47.19°, rel. 17.9
- 2θ = 58.71°, rel. 36.3
- 2θ = 68.95°, rel. 10.9
- 2θ = 78.42°, rel. 3.9
- 2θ = 78.57°, rel. 11.2

Structural model:
Cell: 3.8500 3.8500 15.4289 Å, 90.00 90.00 90.00°
Fractional positions:
La: 0.0000 0.0000 0.1098
La: 0.0000 0.0000 0.3705
La: 0.0000 0.0000 0.6295
La: 0.0000 0.0000 0.8902
Hg: 0.5000 0.5000 0.2437
Hg: 0.5000 0.5000 0.5000
Hg: 0.5000 0.5000 0.7563
Pd: 0.5000 0.5000 0.0000

***

2.
Structure and simulated powder diffractogram of Mg3FeAs (a cell relaxed with PBE; a wavelength of 1.5418 Å).

Largest 8 diffraction maxima, sorted by position, 2θ = 10–80°:
- 2θ = 17.81°, rel. 18.2
- 2θ = 25.29°, rel. 100.0
- 2θ = 36.07°, rel. 72.4
- 2θ = 44.56°, rel. 42.0
- 2θ = 51.93°, rel. 48.8
- 2θ = 58.62°, rel. 17.9
- 2θ = 64.85°, rel. 16.1
- 2θ = 70.79°, rel. 19.9

Structural model:
Cell: 4.9803 4.9803 4.9803 Å, 90.00 90.00 90.00°
Fractional positions:
Mg: 0.0000 0.0000 0.5000
Mg: 0.0000 0.5000 0.0000
Mg: 0.5000 0.0000 0.0000
Fe: 0.5000 0.5000 0.5000
As: 0.0000 0.0000 0.0000

***

3.
Structure and simulated powder diffractogram of Tb2PmYEr (a cell relaxed with PBE; a wavelength of 1.5418 Å).

Largest 8 diffraction maxima, sorted by position, 2θ = 10–80°:
- 2θ = 15.38°, rel. 47.6
- 2θ = 28.09°, rel. 42.8
- 2θ = 29.27°, rel. 47.6
- 2θ = 31.05°, rel. 62.7
- 2θ = 32.82°, rel. 100.0
- 2θ = 35.85°, rel. 55.8
- 2θ = 39.91°, rel. 44.6
- 2θ = 45.80°, rel. 66.0

Structural model:
Cell: 7.1229 7.1229 7.1928 Å, 90.00 90.00 107.95°
Fractional positions:
Tb: 0.1916 0.1916 0.0000
Tb: 0.1916 0.1916 0.5000
Tb: 0.8084 0.8084 0.0000
Tb: 0.8084 0.8084 0.5000
Pm: 0.2203 0.7797 0.7500
Pm: 0.7797 0.2203 0.2500
Y: 0.2336 0.7664 0.2500
Y: 0.7664 0.2336 0.7500
Er: 0.4870 0.5130 0.7500
Er: 0.5130 0.4870 0.2500

***

4.
Structure and simulated powder diffractogram of Th2Re2B2C (a cell relaxed with PBE; a wavelength of 1.5418 Å).

Largest 8 diffraction maxima, sorted by position, 2θ = 10–80°:
- 2θ = 30.18°, rel. 100.0
- 2θ = 31.47°, rel. 26.6
- 2θ = 31.61°, rel. 44.7
- 2θ = 32.73°, rel. 49.9
- 2θ = 33.64°, rel. 54.7
- 2θ = 36.33°, rel. 24.1
- 2θ = 39.14°, rel. 35.0
- 2θ = 56.06°, rel. 28.7

Structural model:
Cell: 12.1738 3.5679 5.5421 Å, 90.00 99.15 90.00°
Fractional positions:
Th: 0.1521 0.0000 0.2155
Th: 0.3479 0.5000 0.7845
Th: 0.6521 0.5000 0.2155
Th: 0.8479 0.0000 0.7845
Re: 0.0709 0.5000 0.6998
Re: 0.4291 0.0000 0.3002
Re: 0.5709 0.0000 0.6998
Re: 0.9291 0.5000 0.3002
B: 0.1668 0.0000 0.7207
B: 0.3332 0.5000 0.2793
B: 0.6668 0.5000 0.7207
B: 0.8332 0.0000 0.2793
C: 0.0000 0.5000 0.0000
C: 0.5000 0.0000 0.0000

***

Question: Number 2 is which compound?
Answer: Mg3FeAs